For Li3Y3AlSe8, a structure optimized by DFT (PBE) gives the theoretical X-ray diffraction stick pattern in this record (Cu Ka).

Structure:
Lattice parameters (Å, degrees): 7.9194 7.9194 7.9194 60.96 60.96 60.96
Atoms (fractional coordinates):
Li (0.0000, 0.5000, 0.5000)
Li (0.5000, 0.0000, 0.5000)
Li (0.5000, 0.5000, 0.0000)
Y (0.0000, 0.0000, 0.5000)
Y (0.0000, 0.5000, 0.0000)
Y (0.5000, 0.0000, 0.0000)
Al (0.5000, 0.5000, 0.5000)
Se (0.2525, 0.2525, 0.2525)
Se (0.2668, 0.2668, 0.7268)
Se (0.2668, 0.7268, 0.2668)
Se (0.2732, 0.7332, 0.7332)
Se (0.7268, 0.2668, 0.2668)
Se (0.7332, 0.2732, 0.7332)
Se (0.7332, 0.7332, 0.2732)
Se (0.7475, 0.7475, 0.7475)

Principal peaks in the range 10 to 90 degrees two-theta, low angle first:
- 2θ = 13.8°, 6.419 Å, I 27
- 2θ = 26.0°, 3.423 Å, I 15
- 2θ = 27.3°, 3.272 Å, I 16
- 2θ = 31.7°, 2.820 Å, I 100
- 2θ = 45.1°, 2.008 Å, I 35
- 2θ = 45.8°, 1.979 Å, I 35
- 2θ = 56.2°, 1.636 Å, I 17
- 2θ = 75.9°, 1.254 Å, I 14